(1)
Ac4In3Hg: calculated powder XRD pattern (Cu Kα (weighted mean of Kα1 and Kα2)), based on a crystal structure in Alexandria, relaxed with GGA-PBE.
Neutral-atom scattering factors, no anomalous dispersion.

Atomic structure:
Unit cell a=17.544 b=5.768 c=5.768 alpha=90.00 beta=109.14 gamma=90.00
Fractional positions:
Ac 0.124 0.000 0.124
Ac 0.124 0.500 0.624
Ac 0.376 0.000 0.376
Ac 0.376 0.500 0.876
Ac 0.624 0.000 0.624
Ac 0.624 0.500 0.124
Ac 0.876 0.000 0.876
Ac 0.876 0.500 0.376
In 0.000 0.000 0.500
In 0.249 0.500 0.249
In 0.251 0.000 0.751
In 0.500 0.500 0.500
In 0.749 0.000 0.249
In 0.751 0.500 0.751
Hg 0.000 0.500 0.000
Hg 0.500 0.000 0.000

Largest 12 diffraction maxima, by angle, 2θ from 15° to 90°:
30.8°, d 2.907, rel. 100
31.0°, d 2.884, rel. 49
43.7°, d 2.072, rel. 10
44.4°, d 2.039, rel. 19
54.5°, d 1.683, rel. 20
55.0°, d 1.669, rel. 40
64.1°, d 1.453, rel. 13
72.2°, d 1.308, rel. 9
73.3°, d 1.292, rel. 9
73.4°, d 1.290, rel. 9
88.9°, d 1.101, rel. 11
89.9°, d 1.091, rel. 11

=====

(2)
Ac3In2Hg2: calculated powder XRD pattern (Cu Kα (weighted mean of Kα1 and Kα2)), based on a crystal structure in Alexandria, relaxed with GGA-PBE.
Neutral-atom scattering factors, no anomalous dispersion.

Atomic structure:
Unit cell a=12.114 b=5.180 c=7.467 alpha=90.00 beta=103.46 gamma=90.00
Fractional positions:
Ac 0.000 0.000 0.000
Ac 0.167 0.000 0.592
Ac 0.333 0.500 0.408
Ac 0.500 0.500 0.000
Ac 0.667 0.500 0.592
Ac 0.833 0.000 0.408
In 0.203 0.500 0.904
In 0.297 0.000 0.096
In 0.703 0.000 0.904
In 0.797 0.500 0.096
Hg 0.040 0.500 0.312
Hg 0.460 0.000 0.688
Hg 0.540 0.000 0.312
Hg 0.960 0.500 0.688

Largest 12 diffraction maxima, by angle, 2θ from 15° to 90°:
23.3°, d 3.810, rel. 11
28.9°, d 3.090, rel. 20
29.6°, d 3.023, rel. 100
30.0°, d 2.982, rel. 37
33.2°, d 2.698, rel. 74
34.6°, d 2.590, rel. 39
43.6°, d 2.076, rel. 16
46.4°, d 1.955, rel. 23
56.8°, d 1.620, rel. 15
57.6°, d 1.601, rel. 18
59.0°, d 1.566, rel. 20
61.2°, d 1.515, rel. 14

=====

(3)
AcIn7Hg12: calculated powder XRD pattern (Cu Kα (weighted mean of Kα1 and Kα2)), based on a crystal structure in Alexandria, relaxed with GGA-PBE.
Neutral-atom scattering factors, no anomalous dispersion.

Atomic structure:
Unit cell a=9.478 b=9.478 c=9.478 alpha=109.47 beta=109.47 gamma=109.47
Fractional positions:
Ac 0.000 0.000 0.000
In 0.000 0.000 0.500
In 0.000 0.500 0.000
In 0.000 0.500 0.500
In 0.500 0.000 0.000
In 0.500 0.000 0.500
In 0.500 0.500 0.000
In 0.500 0.500 0.500
Hg 0.120 0.842 0.278
Hg 0.158 0.278 0.436
Hg 0.158 0.722 0.880
Hg 0.278 0.120 0.842
Hg 0.278 0.436 0.158
Hg 0.436 0.158 0.278
Hg 0.564 0.842 0.722
Hg 0.722 0.564 0.842
Hg 0.722 0.880 0.158
Hg 0.842 0.278 0.120
Hg 0.842 0.722 0.564
Hg 0.880 0.158 0.722

Largest 12 diffraction maxima, by angle, 2θ from 15° to 90°:
25.7°, d 3.461, rel. 86
28.2°, d 3.159, rel. 30
30.6°, d 2.925, rel. 100
32.7°, d 2.736, rel. 56
34.8°, d 2.579, rel. 23
36.7°, d 2.447, rel. 65
40.4°, d 2.234, rel. 89
48.5°, d 1.877, rel. 61
51.5°, d 1.775, rel. 29
63.6°, d 1.462, rel. 49
67.4°, d 1.390, rel. 27
86.2°, d 1.129, rel. 23

=====

(4)
AcIn4Hg: calculated powder XRD pattern (Cu Kα (weighted mean of Kα1 and Kα2)), based on a crystal structure in Alexandria, relaxed with GGA-PBE.
Neutral-atom scattering factors, no anomalous dispersion.

Atomic structure:
Unit cell a=4.885 b=14.664 c=4.787 alpha=90.00 beta=90.00 gamma=90.00
Fractional positions:
Ac 0.000 0.000 0.000
Ac 0.500 0.500 0.000
In 0.000 0.175 0.500
In 0.000 0.322 0.000
In 0.000 0.678 0.000
In 0.000 0.825 0.500
In 0.500 0.178 0.000
In 0.500 0.325 0.500
In 0.500 0.675 0.500
In 0.500 0.822 0.000
Hg 0.000 0.500 0.500
Hg 0.500 0.000 0.500

Largest 12 diffraction maxima, by angle, 2θ from 15° to 90°:
24.3°, d 3.666, rel. 5
26.8°, d 3.330, rel. 9
31.9°, d 2.802, rel. 100
36.8°, d 2.443, rel. 34
37.6°, d 2.393, rel. 16
53.0°, d 1.728, rel. 11
53.6°, d 1.710, rel. 23
63.2°, d 1.470, rel. 26
64.3°, d 1.449, rel. 13
66.8°, d 1.401, rel. 11
87.0°, d 1.120, rel. 5
88.0°, d 1.110, rel. 11

=====

(5)
Ac2In3Hg6: calculated powder XRD pattern (Cu Kα (weighted mean of Kα1 and Kα2)), based on a crystal structure in Alexandria, relaxed with GGA-PBE.
Neutral-atom scattering factors, no anomalous dispersion.

Atomic structure:
Unit cell a=9.176 b=9.176 c=4.193 alpha=90.00 beta=90.00 gamma=113.66
Fractional positions:
Ac 0.215 0.215 0.000
Ac 0.785 0.785 0.000
In 0.257 0.743 0.000
In 0.500 0.500 0.500
In 0.743 0.257 0.000
Hg 0.114 0.886 0.500
Hg 0.149 0.474 0.500
Hg 0.474 0.149 0.500
Hg 0.526 0.851 0.500
Hg 0.851 0.526 0.500
Hg 0.886 0.114 0.500

Largest 12 diffraction maxima, by angle, 2θ from 15° to 90°:
21.2°, d 4.194, rel. 25
30.1°, d 2.968, rel. 100
31.6°, d 2.832, rel. 77
31.9°, d 2.802, rel. 64
34.8°, d 2.579, rel. 43
37.4°, d 2.406, rel. 20
38.7°, d 2.329, rel. 31
39.5°, d 2.281, rel. 33
43.2°, d 2.096, rel. 33
54.7°, d 1.678, rel. 29
59.2°, d 1.561, rel. 21
59.9°, d 1.543, rel. 20

=====

(6)
Ac11In9Hg4: calculated powder XRD pattern (Cu Kα (weighted mean of Kα1 and Kα2)), based on a crystal structure in Alexandria, relaxed with GGA-PBE.
Neutral-atom scattering factors, no anomalous dispersion.

Atomic structure:
Unit cell a=14.521 b=14.521 c=4.151 alpha=90.00 beta=90.00 gamma=113.13
Fractional positions:
Ac 0.000 0.000 0.000
Ac 0.062 0.412 0.000
Ac 0.162 0.838 0.000
Ac 0.289 0.289 0.000
Ac 0.360 0.640 0.000
Ac 0.412 0.062 0.000
Ac 0.588 0.938 0.000
Ac 0.640 0.360 0.000
Ac 0.711 0.711 0.000
Ac 0.838 0.162 0.000
Ac 0.938 0.588 0.000
In 0.065 0.213 0.500
In 0.156 0.635 0.500
In 0.213 0.065 0.500
In 0.365 0.844 0.500
In 0.500 0.500 0.500
In 0.635 0.156 0.500
In 0.787 0.935 0.500
In 0.844 0.365 0.500
In 0.935 0.787 0.500
Hg 0.252 0.449 0.500
Hg 0.449 0.252 0.500
Hg 0.551 0.748 0.500
Hg 0.748 0.551 0.500

Largest 12 diffraction maxima, by angle, 2θ from 15° to 90°:
28.3°, d 3.148, rel. 20
29.4°, d 3.036, rel. 23
30.9°, d 2.895, rel. 100
31.0°, d 2.881, rel. 97
31.5°, d 2.842, rel. 84
33.0°, d 2.716, rel. 24
34.5°, d 2.603, rel. 15
43.6°, d 2.076, rel. 28
54.8°, d 1.676, rel. 39
55.6°, d 1.654, rel. 14
55.9°, d 1.646, rel. 19
72.2°, d 1.308, rel. 18